This entry pairs a crystal structure of TbTiMn with its computed powder XRD pattern. Radiation: Cu Kα (λ = 1.5418 Å). Structure: DFT lattice parameters and positions (GGA-PBE).
Peak positions follow from Bragg's law for the DFT cell and can differ from measured ones.

Top 10 peaks for 10 to 90 degrees two-theta, most intense first:
| d [Å] | I_rel |
| --- | --- |
| 2.455 | 100 |
| 2.221 | 45 |
| 1.323 | 27 |
| 2.773 | 25 |
| 3.936 | 24 |
| 3.141 | 20 |
| 1.934 | 15 |
| 1.571 | 14 |
| 1.668 | 14 |
| 1.473 | 12 |

Crystal structure
```
6
Lattice="3.1412 0.0000 0.0000 0.0000 3.1412 0.0000 0.0000 0.0000 11.8093" Properties=species:S:1:pos:R:3 pbc="T T T"
Tb 0.0000 0.0000 2.0816
Tb 0.0000 0.0000 9.7277
Ti 1.5706 1.5706 4.5380
Ti 1.5706 1.5706 7.2714
Mn 0.0000 0.0000 5.9047
Mn 1.5706 1.5706 0.0000
```



This entry pairs a crystal structure of Ba3Cd2As4 with its computed powder XRD pattern. Radiation: Cu Kα (λ = 1.5418 Å). Structure: DFT lattice parameters and positions (GGA-PBE).
Peak positions follow from Bragg's law for the DFT cell and can differ from measured ones.

Top 10 peaks for 10 to 90 degrees two-theta, most intense first:
| d [Å] | I_rel |
| --- | --- |
| 2.852 | 100 |
| 3.492 | 63 |
| 2.875 | 62 |
| 2.326 | 45 |
| 2.670 | 35 |
| 2.828 | 29 |
| 1.754 | 20 |
| 1.720 | 18 |
| 2.766 | 17 |
| 2.192 | 17 |

Crystal structure
```
9
Lattice="8.6402 -2.3260 0.0000 8.6402 2.3260 0.0000 -2.7830 0.0000 6.8742" Properties=species:S:1:pos:R:3 pbc="T T T"
Ba 0.0000 0.0000 0.0000
Ba 0.8469 0.0000 3.9794
Ba 13.6504 0.0000 2.8948
Cd 5.6375 0.0000 0.1991
Cd 8.8598 0.0000 6.6751
As 3.0381 0.0000 1.3216
As 7.6469 0.0000 2.2409
As 6.8504 0.0000 4.6333
As 11.4592 0.0000 5.5526
```



This entry pairs a crystal structure of Pr2YInO with its computed powder XRD pattern. Radiation: Cu Kα (λ = 1.5418 Å). Structure: DFT lattice parameters and positions (GGA-PBE).
Peak positions follow from Bragg's law for the DFT cell and can differ from measured ones.

Top 10 peaks for 10 to 90 degrees two-theta, most intense first:
| d [Å] | I_rel |
| --- | --- |
| 2.862 | 100 |
| 2.529 | 41 |
| 1.516 | 29 |
| 1.736 | 26 |
| 2.387 | 17 |
| 1.788 | 14 |
| 1.431 | 13 |
| 1.454 | 13 |
| 1.128 | 11 |
| 1.131 | 6 |

Crystal structure
```
5
Lattice="5.0570 0.0000 0.0000 0.0000 5.0570 0.0000 0.0000 0.0000 4.7734" Properties=species:S:1:pos:R:3 pbc="T T T"
Pr 0.0000 2.5285 0.0000
Pr 2.5285 0.0000 0.0000
Y 0.0000 0.0000 2.3867
In 2.5285 2.5285 2.3867
O 0.0000 0.0000 0.0000
```